(1)
Starting from a GGA-PBE-relaxed structure, the powder X-ray diffraction pattern of Cs7LiAu5O2 was calculated for a wavelength of 1.5418 Å.
Lines closer than 0.1° are merged.

Peak list (10 most intense, 10 to 90 degrees two-theta, sorted by position)
2θ/deg  intensity
26.22  11
27.23  100
29.75  20
29.93  29
34.72  12
42.71  15
46.48  10
51.28  9
51.50  17
56.17  9

Structure:
```
Cs7LiAu5O2
1.0
9.4875 -5.1670 0.0000
9.4875 5.1670 0.0000
-1.8729 0.0000 5.6702
Cs Li Au O
7 1 5 2
Direct
0.0000 0.0000 0.0000
0.1339 0.5147 0.8255
0.2590 0.6938 0.4766
0.4393 0.8647 0.1528
0.5147 0.1339 0.8255
0.6938 0.2590 0.4766
0.8647 0.4393 0.1528
0.7861 0.7861 0.7792
0.1279 0.1279 0.6282
0.2820 0.2820 0.2835
0.4899 0.4899 0.9899
0.6469 0.6469 0.6485
0.8273 0.8273 0.3297
0.2893 0.6871 0.9884
0.6871 0.2893 0.9884
```

=====

(2)
Starting from a GGA-PBE-relaxed structure, the powder X-ray diffraction pattern of Cs7LiAu5O2 was calculated for a wavelength of 1.5418 Å.
Lines closer than 0.1° are merged.

Peak list (10 most intense, 10 to 90 degrees two-theta, sorted by position)
2θ/deg  intensity
26.27  8
27.19  100
27.79  29
30.86  16
31.65  10
35.44  9
42.00  13
45.62  9
48.79  18
52.02  8

Structure:
```
Cs7LiAu5O2
1.0
-5.0663 8.6936 3.2104
5.0663 -8.6936 3.2104
5.0663 8.6936 -3.2104
Cs Li Au O
7 1 5 2
Direct
0.0000 0.0000 0.0000
0.2085 0.3243 0.4514
0.2085 0.7571 0.8843
0.5424 0.2272 0.6848
0.5424 0.8576 0.3152
0.8729 0.3243 0.1157
0.8729 0.7571 0.5486
0.4907 0.4907 0.0000
0.0410 0.5410 0.5000
0.3488 0.0381 0.3107
0.3952 0.5350 0.8601
0.6749 0.5350 0.1399
0.7274 0.0381 0.6893
0.0383 0.3354 0.2971
0.0383 0.7412 0.7029
```

=====

(3)
Starting from a GGA-PBE-relaxed structure, the powder X-ray diffraction pattern of Cs7LiAu5O2 was calculated for a wavelength of 1.5418 Å.
Lines closer than 0.1° are merged.

Peak list (10 most intense, 10 to 90 degrees two-theta, sorted by position)
2θ/deg  intensity
24.18  42
25.14  13
26.83  88
27.01  100
29.95  55
32.09  26
35.96  27
47.48  27
51.21  29
51.52  17

Structure:
```
Cs7LiAu5O2
1.0
10.3063 -4.9943 0.0000
10.3063 4.9943 0.0000
-1.6622 0.0000 5.7310
Cs Li Au O
7 1 5 2
Direct
0.0000 0.0000 0.0000
0.1385 0.5692 0.8593
0.3076 0.7115 0.5105
0.4002 0.9120 0.1525
0.5692 0.1385 0.8593
0.7115 0.3076 0.5105
0.9120 0.4002 0.1525
0.7781 0.7781 0.3275
0.1327 0.1327 0.6320
0.3301 0.3301 0.3347
0.5100 0.5100 0.0109
0.7355 0.7355 0.7211
0.9026 0.9026 0.4037
0.3038 0.7139 0.0099
0.7139 0.3038 0.0099
```

=====

(4)
Starting from a GGA-PBE-relaxed structure, the powder X-ray diffraction pattern of Cs7Au5O2 was calculated for a wavelength of 1.5418 Å.
Lines closer than 0.1° are merged.

Peak list (10 most intense, 10 to 90 degrees two-theta, sorted by position)
2θ/deg  intensity
27.71  100
28.99  27
30.16  19
36.69  11
42.33  15
47.43  10
50.60  19
52.08  10
57.24  9
68.67  8

Structure:
```
Cs7Au5O2
1.0
-3.0800 4.8983 8.8892
3.0800 -4.8983 8.8892
3.0800 4.8983 -8.8892
Cs Au O
7 5 2
Direct
0.0000 0.0000 0.0000
0.1127 0.8330 0.2797
0.2899 0.5000 0.7899
0.4468 0.1670 0.2797
0.5532 0.8330 0.7203
0.7101 0.5000 0.2101
0.8873 0.1670 0.7203
0.1494 0.6494 0.5000
0.3090 0.3090 0.0000
0.5000 0.0000 0.5000
0.6910 0.6910 0.0000
0.8506 0.3506 0.5000
0.2913 0.0000 0.2913
0.7087 0.0000 0.7087
```

=====

(5)
Starting from a GGA-PBE-relaxed structure, the powder X-ray diffraction pattern of Cs3Pb4Au was calculated for a wavelength of 1.5418 Å.
Lines closer than 0.1° are merged.

Peak list (10 most intense, 10 to 90 degrees two-theta, sorted by position)
2θ/deg  intensity
12.56  81
13.31  100
23.59  28
26.79  50
28.26  41
29.68  79
30.71  76
31.64  30
32.98  40
46.17  29

Structure:
```
Cs3Pb4Au
1.0
7.5419 0.0000 0.0000
0.0000 14.0963 0.0000
0.0000 0.0000 7.0826
Cs Pb Au
6 8 2
Direct
0.2500 0.0038 0.1660
0.2500 0.2500 0.5645
0.2500 0.4962 0.1660
0.7500 0.5038 0.8340
0.7500 0.7500 0.4355
0.7500 0.9962 0.8340
0.0311 0.7500 0.9487
0.2500 0.6338 0.6548
0.2500 0.8662 0.6548
0.4689 0.7500 0.9487
0.5311 0.2500 0.0513
0.7500 0.1338 0.3452
0.7500 0.3662 0.3452
0.9689 0.2500 0.0513
0.2500 0.7500 0.3016
0.7500 0.2500 0.6984
```

=====

(6)
Starting from a GGA-PBE-relaxed structure, the powder X-ray diffraction pattern of CsRb2Au7 was calculated for a wavelength of 1.5418 Å.
Lines closer than 0.1° are merged.

Peak list (10 most intense, 10 to 90 degrees two-theta, sorted by position)
2θ/deg  intensity
16.79  100
27.64  64
29.47  33
34.84  32
35.56  53
36.11  39
40.35  31
41.03  51
48.76  36
57.09  37

Structure:
```
CsRb2Au7
1.0
7.4024 0.0000 0.0000
0.0000 2.8579 6.9055
0.0000 -2.8579 6.9055
Cs Rb Au
1 2 7
Direct
0.0000 0.0000 0.0000
0.0000 0.6783 0.6783
0.5000 0.8388 0.8388
0.0000 0.3378 0.3378
0.3052 0.2319 0.2319
0.3050 0.4457 0.4457
0.5000 0.3402 0.8387
0.5000 0.8387 0.3402
0.6948 0.2319 0.2319
0.6950 0.4457 0.4457
```

=====

(7)
Starting from a GGA-PBE-relaxed structure, the powder X-ray diffraction pattern of Cs2SnAu2S4 was calculated for a wavelength of 1.5418 Å.
Lines closer than 0.1° are merged.

Peak list (10 most intense, 10 to 90 degrees two-theta, sorted by position)
2θ/deg  intensity
13.76  75
23.18  46
23.93  61
25.16  40
27.78  40
28.81  100
30.99  77
41.69  31
42.10  29
46.74  35

Structure:
```
Cs2SnAu2S4
1.0
0.0000 7.4377 12.8433
3.1309 0.0000 12.8433
3.1309 7.4377 0.0000
Cs Sn Au S
4 2 4 8
Direct
0.0551 0.0551 0.6949
0.3051 0.3051 0.9449
0.6949 0.6949 0.0551
0.9449 0.9449 0.3051
0.1250 0.1250 0.1250
0.8750 0.8750 0.8750
0.3137 0.3137 0.4363
0.4363 0.4363 0.3137
0.5637 0.5637 0.6863
0.6863 0.6863 0.5637
0.0715 0.2938 0.3737
0.2390 0.6263 0.7062
0.2938 0.0715 0.7610
0.3737 0.7610 0.0715
0.6263 0.2390 0.9285
0.7062 0.9285 0.2390
0.7610 0.3737 0.2938
0.9285 0.7062 0.6263
```

=====

(8)
Starting from a GGA-PBE-relaxed structure, the powder X-ray diffraction pattern of CsAuSe was calculated for a wavelength of 1.5418 Å.
Lines closer than 0.1° are merged.

Peak list (10 most intense, 10 to 90 degrees two-theta, sorted by position)
2θ/deg  intensity
15.69  59
23.70  43
24.17  100
29.41  97
32.12  42
32.88  29
34.11  33
40.60  44
45.91  29
54.90  26

Structure:
```
CsAuSe
1.0
7.3650 0.0000 0.0000
0.0000 8.7971 0.0000
0.0000 0.0000 7.2039
Cs Au Se
4 4 4
Direct
0.0000 0.1309 0.2500
0.0000 0.8691 0.7500
0.5000 0.3691 0.7500
0.5000 0.6309 0.2500
0.0000 0.5000 0.0000
0.0000 0.5000 0.5000
0.5000 0.0000 0.0000
0.5000 0.0000 0.5000
0.0000 0.3090 0.7500
0.0000 0.6910 0.2500
0.5000 0.1910 0.2500
0.5000 0.8090 0.7500
```

=====

(9)
Starting from a GGA-PBE-relaxed structure, the powder X-ray diffraction pattern of CsUAuSe3 was calculated for a wavelength of 1.5418 Å.
Lines closer than 0.1° are merged.

Peak list (10 most intense, 10 to 90 degrees two-theta, sorted by position)
2θ/deg  intensity
10.86  100
27.38  29
28.00  58
31.54  51
33.25  39
38.69  33
42.77  21
50.41  17
51.56  19
55.23  17

Structure:
```
CsUAuSe3
1.0
2.1142 -8.1434 0.0000
2.1142 8.1434 0.0000
0.0000 0.0000 10.7749
Cs U Au Se
2 2 2 6
Direct
0.2473 0.7527 0.7500
0.7527 0.2473 0.2500
0.5000 0.5000 0.0000
0.5000 0.5000 0.5000
0.0419 0.9581 0.2500
0.9581 0.0419 0.7500
0.1171 0.8829 0.0401
0.1171 0.8829 0.4599
0.4391 0.5609 0.2500
0.5609 0.4391 0.7500
0.8829 0.1171 0.5401
0.8829 0.1171 0.9599
```

=====

(10)
Starting from a GGA-PBE-relaxed structure, the powder X-ray diffraction pattern of Cs4Sn2Au7 was calculated for a wavelength of 1.5418 Å.
Lines closer than 0.1° are merged.

Peak list (10 most intense, 10 to 90 degrees two-theta, sorted by position)
2θ/deg  intensity
15.70  71
17.59  35
25.36  56
27.78  91
29.96  70
31.03  78
31.71  100
42.06  51
48.38  41
52.08  44

Structure:
```
Cs4Sn2Au7
1.0
3.5125 2.0279 10.0834
-3.5125 2.0279 10.0834
0.0000 -4.0558 10.0834
Cs Sn Au
4 2 7
Direct
0.1850 0.1850 0.1850
0.3132 0.3132 0.3132
0.6868 0.6868 0.6868
0.8150 0.8150 0.8150
0.0505 0.0505 0.0505
0.9495 0.9495 0.9495
0.2879 0.2879 0.6940
0.2879 0.6940 0.2879
0.3060 0.7121 0.7121
0.5000 0.5000 0.5000
0.6940 0.2879 0.2879
0.7121 0.3060 0.7121
0.7121 0.7121 0.3060
```